1.
Starting from a GGA-PBE-relaxed structure, the powder X-ray diffraction pattern of CeCd20Pd2 was calculated for Cu Kα, 1.54184 Å.

Atomic structure:
abc: 11.227 11.227 11.227
angles: 60.00 60.00 60.00
Element x y z (fractional)
Ce1 0.125 0.125 0.125
Ce2 0.875 0.875 0.875
Cd1 0.000 0.000 0.000
Cd2 0.000 0.000 0.500
Cd3 0.000 0.500 0.000
Cd4 0.056 0.323 0.323
Cd5 0.056 0.323 0.799
Cd6 0.056 0.799 0.323
Cd7 0.201 0.677 0.677
Cd8 0.201 0.677 0.944
Cd9 0.201 0.944 0.677
Cd10 0.237 0.237 0.513
Cd11 0.237 0.513 0.237
Cd12 0.237 0.513 0.513
Cd13 0.323 0.056 0.323
Cd14 0.323 0.056 0.799
Cd15 0.323 0.323 0.056
Cd16 0.323 0.323 0.799
Cd17 0.323 0.799 0.056
Cd18 0.323 0.799 0.323
Cd19 0.487 0.487 0.763
Cd20 0.487 0.763 0.487
Cd21 0.487 0.763 0.763
Cd22 0.500 0.000 0.000
Cd23 0.513 0.237 0.237
Cd24 0.513 0.237 0.513
Cd25 0.513 0.513 0.237
Cd26 0.677 0.201 0.677
Cd27 0.677 0.201 0.944
Cd28 0.677 0.677 0.201
Cd29 0.677 0.677 0.944
Cd30 0.677 0.944 0.201
Cd31 0.677 0.944 0.677
Cd32 0.763 0.487 0.487
Cd33 0.763 0.487 0.763
Cd34 0.763 0.763 0.487
Cd35 0.799 0.056 0.323
Cd36 0.799 0.323 0.056
Cd37 0.799 0.323 0.323
Cd38 0.944 0.201 0.677
Cd39 0.944 0.677 0.201
Cd40 0.944 0.677 0.677
Pd1 0.000 0.500 0.500
Pd2 0.500 0.000 0.500
Pd3 0.500 0.500 0.000
Pd4 0.500 0.500 0.500

Largest 12 diffraction maxima, in order of falling intensity, 2θ = 15–90°:
d (Å)	Rel. int.
2.684	100
2.394	93
2.421	84
1.403	55
2.510	44
2.223	36
2.292	29
1.528	24
1.871	23
1.347	22
1.596	19
2.646	19

---

2.
Starting from a GGA-PBE-relaxed structure, the powder X-ray diffraction pattern of Ce2S2O was calculated for Cu Kα, 1.54184 Å.

Atomic structure:
abc: 7.860 7.860 7.145
angles: 90.00 90.00 150.80
Element x y z (fractional)
Ce1 0.055 0.945 0.500
Ce2 0.335 0.665 0.594
Ce3 0.665 0.335 0.094
Ce4 0.945 0.055 0.000
S1 0.297 0.703 0.981
S2 0.458 0.542 0.301
S3 0.542 0.458 0.801
S4 0.703 0.297 0.481
O1 0.097 0.903 0.163
O2 0.903 0.097 0.663

Largest 12 diffraction maxima, in order of falling intensity, 2θ = 15–90°:
d (Å)	Rel. int.
3.357	100
3.122	84
2.351	82
3.379	73
2.861	69
3.572	68
2.273	35
1.841	34
1.981	34
2.614	34
5.208	32
1.706	30

---

3.
Starting from a GGA-PBE-relaxed structure, the powder X-ray diffraction pattern of ErThTeAs was calculated for Cu Kα, 1.54184 Å.

Atomic structure:
abc: 4.156 4.156 22.510
angles: 90.00 90.00 120.00
Element x y z (fractional)
Er1 0.000 0.000 0.000
Er2 0.333 0.667 0.667
Er3 0.667 0.333 0.333
Th1 0.000 0.000 0.809
Th2 0.333 0.667 0.476
Th3 0.667 0.333 0.142
Te1 0.000 0.000 0.240
Te2 0.333 0.667 0.907
Te3 0.667 0.333 0.574
As1 0.000 0.000 0.401
As2 0.333 0.667 0.068
As3 0.667 0.333 0.734

Largest 12 diffraction maxima, in order of falling intensity, 2θ = 15–90°:
d (Å)	Rel. int.
2.811	100
2.078	53
3.032	35
2.398	33
3.428	32
3.554	25
1.671	22
1.302	19
1.909	17
1.392	16
1.778	13
1.598	12

---

4.
Starting from a GGA-PBE-relaxed structure, the powder X-ray diffraction pattern of NaPmMnI6 was calculated for Cu Kα, 1.54184 Å.

Atomic structure:
abc: 7.662 7.662 14.551
angles: 90.00 90.00 120.00
Element x y z (fractional)
Na1 0.000 0.000 0.000
Na2 0.000 0.000 0.500
Pm1 0.333 0.667 0.250
Pm2 0.667 0.333 0.750
Mn1 0.333 0.667 0.750
Mn2 0.667 0.333 0.250
I1 0.019 0.364 0.632
I2 0.019 0.655 0.868
I3 0.345 0.364 0.868
I4 0.345 0.981 0.632
I5 0.364 0.019 0.132
I6 0.364 0.345 0.368
I7 0.636 0.655 0.632
I8 0.636 0.981 0.868
I9 0.655 0.019 0.368
I10 0.655 0.636 0.132
I11 0.981 0.345 0.132
I12 0.981 0.636 0.368

Largest 12 diffraction maxima, in order of falling intensity, 2θ = 15–90°:
d (Å)	Rel. int.
3.390	100
2.638	43
2.212	31
2.049	26
1.405	15
1.852	15
3.638	13
1.420	11
4.903	10
1.695	10
1.890	9
1.345	8

---

5.
Starting from a GGA-PBE-relaxed structure, the powder X-ray diffraction pattern of CsV3Br was calculated for Cu Kα, 1.54184 Å.

Atomic structure:
abc: 4.957 4.957 4.957
angles: 90.00 90.00 90.00
Element x y z (fractional)
Cs1 0.000 0.000 0.000
V1 0.000 0.500 0.500
V2 0.500 0.000 0.500
V3 0.500 0.500 0.000
Br1 0.500 0.500 0.500

Largest 12 diffraction maxima, in order of falling intensity, 2θ = 15–90°:
d (Å)	Rel. int.
3.505	100
2.479	99
1.753	66
2.862	60
2.024	43
1.108	29
1.325	23
1.495	22
1.431	22
1.568	19
1.168	12
1.239	10

---

6.
Starting from a GGA-PBE-relaxed structure, the powder X-ray diffraction pattern of Ce8PuGe5 was calculated for Cu Kα, 1.54184 Å.

Atomic structure:
abc: 7.639 7.639 7.639
angles: 110.47 110.47 107.50
Element x y z (fractional)
Ce1 0.030 0.136 0.772
Ce2 0.264 0.471 0.639
Ce3 0.365 0.258 0.228
Ce4 0.375 0.736 0.207
Ce5 0.529 0.167 0.793
Ce6 0.742 0.970 0.107
Ce7 0.833 0.625 0.361
Ce8 0.864 0.635 0.893
Pu1 0.500 0.500 0.000
Ge1 0.010 0.382 0.154
Ge2 0.144 0.990 0.372
Ge3 0.227 0.856 0.846
Ge4 0.618 0.773 0.628
Ge5 0.750 0.250 0.500

Largest 12 diffraction maxima, in order of falling intensity, 2θ = 15–90°:
d (Å)	Rel. int.
2.846	100
2.755	80
2.765	66
2.352	62
2.383	52
2.334	47
1.789	32
1.730	28
1.710	19
2.057	16
3.577	15
1.425	14

---

7.
Starting from a GGA-PBE-relaxed structure, the powder X-ray diffraction pattern of Tb5DyY3 was calculated for Cu Kα, 1.54184 Å.

Atomic structure:
abc: 9.646 9.646 11.406
angles: 110.79 110.79 38.32
Element x y z (fractional)
Tb1 0.044 0.618 0.289
Tb2 0.102 0.898 0.750
Tb3 0.149 0.510 0.628
Tb4 0.382 0.956 0.211
Tb5 0.490 0.851 0.872
Tb6 0.510 0.149 0.128
Tb7 0.618 0.044 0.789
Tb8 0.851 0.490 0.372
Tb9 0.898 0.102 0.250
Tb10 0.956 0.382 0.711
Dy1 0.375 0.625 0.250
Dy2 0.625 0.375 0.750
Y1 0.033 0.649 0.986
Y2 0.351 0.967 0.514
Y3 0.500 0.500 0.000
Y4 0.500 0.500 0.500
Y5 0.649 0.033 0.486
Y6 0.967 0.351 0.014

Largest 12 diffraction maxima, in order of falling intensity, 2θ = 15–90°:
d (Å)	Rel. int.
2.815	100
2.867	75
2.759	74
2.774	72
3.172	54
2.600	43
2.963	38
5.285	33
1.652	30
1.758	24
5.506	23
1.899	20

---

8.
Starting from a GGA-PBE-relaxed structure, the powder X-ray diffraction pattern of Ho5As2P2 was calculated for Cu Kα, 1.54184 Å.

Atomic structure:
abc: 8.054 8.054 7.594
angles: 90.00 90.00 55.44
Element x y z (fractional)
Ho1 0.000 0.000 0.000
Ho2 0.027 0.707 0.658
Ho3 0.207 0.527 0.158
Ho4 0.293 0.973 0.658
Ho5 0.473 0.793 0.158
Ho6 0.500 0.500 0.500
Ho7 0.527 0.207 0.842
Ho8 0.707 0.027 0.342
Ho9 0.793 0.473 0.842
Ho10 0.973 0.293 0.342
As1 0.200 0.200 0.000
As2 0.300 0.300 0.500
As3 0.700 0.700 0.500
As4 0.800 0.800 0.000
P1 0.145 0.855 0.356
P2 0.355 0.645 0.856
P3 0.645 0.355 0.144
P4 0.855 0.145 0.644

Largest 12 diffraction maxima, in order of falling intensity, 2θ = 15–90°:
d (Å)	Rel. int.
2.758	100
2.445	97
3.360	81
2.365	71
2.340	71
3.295	64
2.515	57
2.583	44
2.599	42
2.667	42
3.565	31
1.665	28

---

9.
Starting from a GGA-PBE-relaxed structure, the powder X-ray diffraction pattern of PaGeHIr was calculated for Cu Kα, 1.54184 Å.

Atomic structure:
abc: 4.361 4.361 3.735
angles: 90.00 90.00 120.00
Element x y z (fractional)
Pa1 0.000 0.000 0.000
Ge1 0.333 0.667 0.502
H1 0.667 0.333 0.999
Ir1 0.667 0.333 0.499

Largest 12 diffraction maxima, in order of falling intensity, 2θ = 15–90°:
d (Å)	Rel. int.
2.656	100
2.181	51
1.685	26
1.418	26
1.334	25
3.777	16
1.868	11
1.259	9
1.182	8
1.090	6
1.674	4
1.889	3

---

10.
Starting from a GGA-PBE-relaxed structure, the powder X-ray diffraction pattern of La2Pm5Tm was calculated for Cu Kα, 1.54184 Å.

Atomic structure:
abc: 6.675 6.675 16.328
angles: 90.00 90.00 129.07
Element x y z (fractional)
La1 0.220 0.780 0.630
La2 0.220 0.780 0.870
La3 0.780 0.220 0.130
La4 0.780 0.220 0.370
Pm1 0.078 0.922 0.092
Pm2 0.078 0.922 0.408
Pm3 0.383 0.617 0.052
Pm4 0.383 0.617 0.448
Pm5 0.464 0.536 0.750
Pm6 0.536 0.464 0.250
Pm7 0.617 0.383 0.552
Pm8 0.617 0.383 0.948
Pm9 0.922 0.078 0.592
Pm10 0.922 0.078 0.908
Tm1 0.258 0.742 0.250
Tm2 0.742 0.258 0.750

Largest 12 diffraction maxima, in order of falling intensity, 2θ = 15–90°:
d (Å)	Rel. int.
2.817	100
2.870	47
2.763	41
3.207	34
1.647	25
2.827	19
2.014	14
2.963	12
2.721	12
3.053	10
1.975	10
2.062	9